Tb2ErScP4: computed powder X-ray diffraction pattern (copper Kα), based on a crystal structure in Alexandria, relaxed with PBE.
Intensities are scaled so that the largest is 100.

a b c (Å): 6.834 3.953 6.839
angles (deg): 90.00 109.49 90.00
Space group P2/m (No. 10)
Unique sites:
1 Tb 0.000 0.000 0.000 [1 per cell]
2 Tb 0.000 0.500 0.500 [1 per cell]
3 Er 0.500 0.000 0.500 [1 per cell]
4 Sc 0.500 0.500 0.000 [1 per cell]
5 P 0.258 0.500 0.247 [2 per cell]
6 P 0.262 0.000 0.759 [2 per cell]

Principal peaks in the range 2θ from 15° to 90°, in order of rising 2θ:
| h k l | 2θ/deg | I (rel.) |
| --- | --- | --- |
| 2 0 0 | 27.7 | 73.6 |
| 1 1 1 | 32.1 | 100.0 |
| 0 2 0 | 46.0 | 71.9 |
| 3 1 1 | 54.5 | 35.4 |
| 2 2 -2 | 57.1 | 24.8 |
| 2 2 2 | 67.0 | 11.5 |
| 1 3 1 | 76.2 | 21.2 |
| 1 3 -3 | 85.1 | 18.3 |